Record 1
Diffraction record for LiCuS2. The PXRD pattern is calculated, not measured: it uses a structure optimized by DFT (PBE) and Cu Kα, 1.54184 Å.

```
data_LiCuS2
_cell_length_a 5.9655
_cell_length_b 6.6546
_cell_length_c 3.3750
_cell_angle_alpha 90.00
_cell_angle_beta 90.00
_cell_angle_gamma 90.00
_space_group_name_H-M_alt 'P n n m'
_space_group_IT_number 58
_space_group_name_Hall '-P 2 2n'
loop_
_atom_site_label
_atom_site_fract_x
_atom_site_fract_y
_atom_site_fract_z
_atom_site_occupancy
Li1 0.0000 0.0000 0.0000 1
Cu1 0.0000 0.5000 0.5000 1
S1 0.1841 0.3541 0.0000 1
```

Top 10 peaks for 2θ = 5–70°, sorted by position:
- 2θ = 19.99°, 4.442 Å, I = 100, (1 1 0)
- 2θ = 26.79°, 3.327 Å, I = 12, (0 2 0)
- 2θ = 30.77°, 2.906 Å, I = 18, (1 2 0)
- 2θ = 33.34°, 2.687 Å, I = 19, (1 1 1)
- 2θ = 40.62°, 2.221 Å, I = 18, (2 2 0)
- 2θ = 40.98°, 2.202 Å, I = 23, (1 2 1)
- 2θ = 42.68°, 2.119 Å, I = 42, (2 1 1)
- 2θ = 49.14°, 1.854 Å, I = 29, (0 3 1)
- 2θ = 53.48°, 1.713 Å, I = 16, (3 0 1)
- 2θ = 58.51°, 1.577 Å, I = 10, (1 1 2)

Record 2
Diffraction record for Li3CuS2. The PXRD pattern is calculated, not measured: it uses a structure optimized by DFT (PBE) and Cu Kα, 1.54184 Å.

```
data_Li3CuS2
_cell_length_a 9.1866
_cell_length_b 9.1866
_cell_length_c 9.1866
_cell_angle_alpha 90.00
_cell_angle_beta 90.00
_cell_angle_gamma 90.00
_space_group_name_H-M_alt 'I 41 3 2'
_space_group_IT_number 214
_space_group_name_Hall 'I 4bd 2c 3'
loop_
_atom_site_label
_atom_site_fract_x
_atom_site_fract_y
_atom_site_fract_z
_atom_site_occupancy
Li1 0.0000 0.2500 0.3842 1
Cu1 0.1250 0.1250 0.1250 1
S1 0.0097 0.4903 0.5097 1
```

Top 10 peaks for 2θ = 5–70°, sorted by position:
- 2θ = 13.63°, 6.496 Å, I = 100, (1 1 0)
- 2θ = 23.72°, 3.750 Å, I = 57, (2 1 1)
- 2θ = 27.46°, 3.248 Å, I = 85, (2 2 0)
- 2θ = 30.78°, 2.905 Å, I = 32, (3 1 0)
- 2θ = 33.80°, 2.652 Å, I = 41, (2 2 2)
- 2θ = 36.60°, 2.455 Å, I = 69, (3 2 1)
- 2θ = 41.71°, 2.165 Å, I = 35, (3 3 0)
- 2θ = 48.55°, 1.875 Å, I = 38, (4 2 2)
- 2θ = 50.67°, 1.802 Å, I = 37, (5 1 0)
- 2θ = 56.68°, 1.624 Å, I = 41, (4 4 0)

Record 3
Diffraction record for Li2Cu2S3. The PXRD pattern is calculated, not measured: it uses a structure optimized by DFT (PBE) and Cu Kα, 1.54184 Å.

```
data_Li2Cu2S3
_cell_length_a 13.5354
_cell_length_b 12.0131
_cell_length_c 6.4727
_cell_angle_alpha 90.00
_cell_angle_beta 117.51
_cell_angle_gamma 90.00
_space_group_name_H-M_alt 'C 1 2/c 1'
_space_group_IT_number 15
_space_group_name_Hall '-C 2yc'
loop_
_atom_site_label
_atom_site_fract_x
_atom_site_fract_y
_atom_site_fract_z
_atom_site_occupancy
Li1 0.0000 0.0712 0.2500 1
Li2 0.0000 0.2246 0.7500 1
Li3 0.1074 0.4174 0.0610 1
Cu1 0.1810 0.2402 0.5992 1
Cu2 0.2065 0.0768 0.1134 1
S1 0.1066 0.3906 0.6840 1
S2 0.1293 0.2236 0.2126 1
S3 0.1414 0.0755 0.7223 1
```

Top 10 peaks for 2θ = 5–70°, sorted by position:
- 2θ = 14.76°, 6.003 Å, I = 100, (2 0 0)
- 2θ = 21.37°, 4.158 Å, I = 32, (0 2 1)
- 2θ = 23.43°, 3.797 Å, I = 27, (3 1 0)
- 2θ = 26.17°, 3.405 Å, I = 63, (1 3 -1)
- 2θ = 27.57°, 3.236 Å, I = 29, (2 0 -2)
- 2θ = 40.22°, 2.242 Å, I = 49, (5 3 -1)
- 2θ = 40.62°, 2.221 Å, I = 19, (2 0 2)
- 2θ = 45.30°, 2.002 Å, I = 25, (0 6 0)
- 2θ = 47.90°, 1.899 Å, I = 62, (3 3 -3)
- 2θ = 53.35°, 1.717 Å, I = 31, (4 0 2)

Record 4
Diffraction record for LiCuS2. The PXRD pattern is calculated, not measured: it uses a structure optimized by DFT (PBE) and Cu Kα, 1.54184 Å.

```
data_LiCuS2
_cell_length_a 7.7322
_cell_length_b 3.4211
_cell_length_c 6.0590
_cell_angle_alpha 90.00
_cell_angle_beta 117.54
_cell_angle_gamma 90.00
_space_group_name_H-M_alt 'C 1 2/m 1'
_space_group_IT_number 12
_space_group_name_Hall '-C 2y'
loop_
_atom_site_label
_atom_site_fract_x
_atom_site_fract_y
_atom_site_fract_z
_atom_site_occupancy
Li1 0.0000 0.0000 0.0000 1
Cu1 0.0000 0.0000 0.5000 1
S1 0.1268 0.5000 0.7657 1
```

Top 10 peaks for 2θ = 5–70°, sorted by position:
- 2θ = 16.50°, 5.373 Å, I = 40, (0 0 1)
- 2θ = 23.46°, 3.792 Å, I = 100, (2 0 -1)
- 2θ = 25.99°, 3.428 Å, I = 23, (2 0 0)
- 2θ = 36.66°, 2.451 Å, I = 46, (1 1 1)
- 2θ = 39.82°, 2.264 Å, I = 45, (1 1 -2)
- 2θ = 47.87°, 1.900 Å, I = 23, (3 1 0)
- 2θ = 47.98°, 1.896 Å, I = 15, (4 0 -2)
- 2θ = 49.55°, 1.840 Å, I = 17, (1 1 2)
- 2θ = 55.33°, 1.660 Å, I = 14, (3 1 -3)
- 2θ = 59.26°, 1.559 Å, I = 13, (2 2 -1)

Record 5
Diffraction record for Li3CuS3. The PXRD pattern is calculated, not measured: it uses a structure optimized by DFT (PBE) and Cu Kα, 1.54184 Å.

```
data_Li3CuS3
_cell_length_a 10.7860
_cell_length_b 10.7860
_cell_length_c 4.4917
_cell_angle_alpha 90.00
_cell_angle_beta 90.00
_cell_angle_gamma 90.00
_space_group_name_H-M_alt 'P 42/m n m'
_space_group_IT_number 136
_space_group_name_Hall '-P 4n 2n'
loop_
_atom_site_label
_atom_site_fract_x
_atom_site_fract_y
_atom_site_fract_z
_atom_site_occupancy
Li1 0.1095 0.3589 0.0000 1
Li2 0.1619 0.1619 0.5000 1
Cu1 0.1129 0.8871 0.0000 1
S1 0.0947 0.0947 0.0000 1
S2 0.1109 0.6797 0.0000 1
```

Top 10 peaks for 2θ = 5–70°, sorted by position:
- 2θ = 11.60°, 7.627 Å, I = 32, (1 1 0)
- 2θ = 18.39°, 4.824 Å, I = 21, (2 1 0)
- 2θ = 21.43°, 4.146 Å, I = 100, (1 0 1)
- 2θ = 22.98°, 3.870 Å, I = 33, (1 1 1)
- 2θ = 33.22°, 2.696 Å, I = 38, (4 0 0)
- 2θ = 39.88°, 2.261 Å, I = 17, (4 1 1)
- 2θ = 40.15°, 2.246 Å, I = 19, (0 0 2)
- 2θ = 46.71°, 1.945 Å, I = 35, (5 0 1)
- 2θ = 53.07°, 1.726 Å, I = 18, (4 0 2)
- 2θ = 58.52°, 1.577 Å, I = 19, (5 4 1)

Record 6
Diffraction record for Li3CuS2. The PXRD pattern is calculated, not measured: it uses a structure optimized by DFT (PBE) and Cu Kα, 1.54184 Å.

```
data_Li3CuS2
_cell_length_a 7.8977
_cell_length_b 7.8977
_cell_length_c 11.9871
_cell_angle_alpha 90.00
_cell_angle_beta 90.00
_cell_angle_gamma 90.00
_space_group_name_H-M_alt 'I 41/a m d'
_space_group_IT_number 141
loop_
_space_group_symop_operation_xyz
'x,y,z'
'-x,-y,-z'
'-y+1/4,x+3/4,z+1/4'
'y+1/4,-x+3/4,-z+1/4'
'-x+1/2,-y,z+1/2'
'x+1/2,y,-z+1/2'
'y+1/4,-x+1/4,z+3/4'
'-y+1/4,x+1/4,-z+3/4'
'x,-y,-z'
'-x,y,z'
'-y+1/4,-x+1/4,-z+3/4'
'y+1/4,x+1/4,z+3/4'
'-x+1/2,y,-z+1/2'
'x+1/2,-y,z+1/2'
'y+1/4,x+3/4,-z+1/4'
'-y+1/4,-x+3/4,z+1/4'
'x+1/2,y+1/2,z+1/2'
'-x+1/2,-y+1/2,-z+1/2'
'-y+3/4,x+1/4,z+3/4'
'y+3/4,-x+1/4,-z+3/4'
'-x,-y+1/2,z'
'x,y+1/2,-z'
'y+3/4,-x+3/4,z+1/4'
'-y+3/4,x+3/4,-z+1/4'
'x+1/2,-y+1/2,-z+1/2'
'-x+1/2,y+1/2,z+1/2'
'-y+3/4,-x+3/4,-z+1/4'
'y+3/4,x+3/4,z+1/4'
'-x,y+1/2,-z'
'x,-y+1/2,z'
'y+3/4,x+1/4,-z+3/4'
'-y+3/4,-x+1/4,z+3/4'
loop_
_atom_site_label
_atom_site_fract_x
_atom_site_fract_y
_atom_site_fract_z
_atom_site_occupancy
Li1 0.0000 0.0000 0.0000 1
Li2 0.2124 0.0376 0.3750 1
Cu1 0.0000 0.2500 0.2275 1
S1 0.0000 0.0204 0.7697 1
```

Top 10 peaks for 2θ = 5–70°, sorted by position:
- 2θ = 13.43°, 6.595 Å, I = 52, (1 0 1)
- 2θ = 22.52°, 3.949 Å, I = 80, (2 0 0)
- 2θ = 24.97°, 3.565 Å, I = 84, (1 0 3)
- 2θ = 26.31°, 3.388 Å, I = 54, (2 1 1)
- 2θ = 27.04°, 3.298 Å, I = 100, (2 0 2)
- 2θ = 29.81°, 2.997 Å, I = 68, (0 0 4)
- 2θ = 37.68°, 2.387 Å, I = 53, (2 0 4)
- 2θ = 41.06°, 2.198 Å, I = 44, (3 0 3)
- 2θ = 41.93°, 2.155 Å, I = 45, (3 2 1)
- 2θ = 45.97°, 1.974 Å, I = 61, (4 0 0)

Record 7
Diffraction record for Li3CuS2. The PXRD pattern is calculated, not measured: it uses a structure optimized by DFT (PBE) and Cu Kα, 1.54184 Å.

```
data_Li3CuS2
_cell_length_a 6.6385
_cell_length_b 6.6385
_cell_length_c 15.4150
_cell_angle_alpha 90.00
_cell_angle_beta 90.00
_cell_angle_gamma 120.00
_space_group_name_H-M_alt 'R -3 c'
_space_group_IT_number 167
_space_group_name_Hall '-R 3 2"c'
loop_
_atom_site_label
_atom_site_fract_x
_atom_site_fract_y
_atom_site_fract_z
_atom_site_occupancy
Li1 0.0000 0.2768 0.2500 1
Cu1 0.0000 0.0000 0.0000 1
S1 0.0000 0.0000 0.1380 1
```

Top 10 peaks for 2θ = 5–70°, sorted by position:
- 2θ = 19.26°, 4.608 Å, I = 38, (0 1 2)
- 2θ = 26.86°, 3.319 Å, I = 100, (1 1 0)
- 2θ = 33.27°, 2.693 Å, I = 13, (2 0 2)
- 2θ = 43.26°, 2.091 Å, I = 12, (1 2 2)
- 2θ = 44.60°, 2.032 Å, I = 32, (1 1 6)
- 2θ = 47.44°, 1.916 Å, I = 24, (3 0 0)
- 2θ = 49.92°, 1.827 Å, I = 15, (0 1 8)
- 2θ = 55.36°, 1.660 Å, I = 11, (2 2 0)
- 2θ = 60.25°, 1.536 Å, I = 8, (3 0 6)
- 2θ = 64.65°, 1.442 Å, I = 12, (1 2 8)

Record 8
Diffraction record for Li3CuS2. The PXRD pattern is calculated, not measured: it uses a structure optimized by DFT (PBE) and Cu Kα, 1.54184 Å.

```
data_Li3CuS2
_cell_length_a 5.6918
_cell_length_b 11.1965
_cell_length_c 6.0530
_cell_angle_alpha 90.00
_cell_angle_beta 90.00
_cell_angle_gamma 90.00
_space_group_name_H-M_alt 'I b a m'
_space_group_IT_number 72
_space_group_name_Hall '-I 2 2c'
loop_
_atom_site_label
_atom_site_fract_x
_atom_site_fract_y
_atom_site_fract_z
_atom_site_occupancy
Li1 0.0000 0.0000 0.2500 1
Li2 0.0000 0.2675 0.2500 1
Cu1 0.0000 0.5000 0.0000 1
S1 0.2248 0.1342 0.0000 1
```

Top 10 peaks for 2θ = 5–70°, sorted by position:
- 2θ = 15.83°, 5.598 Å, I = 58, (0 2 0)
- 2θ = 17.48°, 5.074 Å, I = 100, (1 1 0)
- 2θ = 26.75°, 3.332 Å, I = 100, (1 2 1)
- 2θ = 28.60°, 3.121 Å, I = 45, (1 3 0)
- 2θ = 29.51°, 3.026 Å, I = 63, (0 0 2)
- 2θ = 34.51°, 2.599 Å, I = 50, (1 1 2)
- 2θ = 41.56°, 2.173 Å, I = 49, (1 3 2)
- 2θ = 45.45°, 1.996 Å, I = 51, (2 4 0)
- 2θ = 46.72°, 1.944 Å, I = 30, (2 2 2)
- 2θ = 55.13°, 1.666 Å, I = 35, (2 4 2)